1.
NaSiAu3: simulated powder diffraction line list (a wavelength of 1.5418 Å), based on a structure optimized by DFT (PBE).
Intensities are scaled so that the largest is 100.

Main lines, most intense first (2θ from 15° to 90°):
(hkl), 2θ (°), intensity
3 0 2, 35.74, 100
2 1 1, 24.07, 60
3 2 1, 37.14, 50
4 1 0, 41.09, 46
4 2 1, 45.92, 40
5 3 2, 63.29, 37
4 0 2, 44.75, 22
7 1 2, 77.43, 19
2 0 0, 19.60, 18
6 0 0, 61.42, 15
2 2 1, 29.59, 12
6 3 2, 73.14, 12

```
data_NaSiAu3
_cell_length_a 9.057
_cell_length_b 9.057
_cell_length_c 9.057
_cell_angle_alpha 90.00
_cell_angle_beta 90.00
_cell_angle_gamma 90.00
_space_group_name_H-M_alt 'P a -3'
_space_group_IT_number 205
_space_group_name_Hall '-P 2ac 2ab 3'
loop_
_atom_site_label
_atom_site_type_symbol
_atom_site_fract_x
_atom_site_fract_y
_atom_site_fract_z
Na1 Na 0.097 0.097 0.097
Si1 Si 0.124 0.624 0.876
Au1 Au 0.094 0.727 0.129
```

---

2.
NaSi2Au8: simulated powder diffraction line list (a wavelength of 1.5418 Å), based on a structure optimized by DFT (PBE).
Intensities are scaled so that the largest is 100.

Main lines, most intense first (2θ from 15° to 90°):
(hkl), 2θ (°), intensity
2 0 0, 31.60, 100
2 0 2, 39.09, 97
0 0 2, 22.42, 76
2 0 3, 47.02, 49
2 2 0, 45.29, 46
2 2 2, 51.10, 35
0 0 3, 33.90, 27
4 2 2, 79.45, 25
2 0 5, 67.70, 25
2 2 3, 57.76, 24
4 2 3, 84.91, 19
2 2 5, 76.63, 19

```
data_NaSi2Au8
_cell_length_a 5.663
_cell_length_b 5.663
_cell_length_c 7.932
_cell_angle_alpha 90.00
_cell_angle_beta 90.00
_cell_angle_gamma 90.00
_space_group_name_H-M_alt 'P 4/m m m'
_space_group_IT_number 123
_space_group_name_Hall '-P 4 2'
loop_
_atom_site_label
_atom_site_type_symbol
_atom_site_fract_x
_atom_site_fract_y
_atom_site_fract_z
Na1 Na 0.000 0.000 0.000
Si1 Si 0.000 0.500 0.500
Au1 Au 0.251 0.251 0.298
```

---

3.
NaSi2Au5: simulated powder diffraction line list (a wavelength of 1.5418 Å), based on a structure optimized by DFT (PBE).
Intensities are scaled so that the largest is 100.

Main lines, most intense first (2θ from 15° to 90°):
(hkl), 2θ (°), intensity
1 0 3, 33.50, 100
1 2 1, 33.81, 85
0 2 4, 43.47, 77
0 1 1, 15.12, 71
2 0 0, 42.10, 34
2 2 4, 62.10, 27
0 3 3, 46.50, 24
1 1 4, 42.99, 20
3 0 3, 71.44, 20
1 2 3, 42.22, 19
1 0 1, 22.45, 19
2 3 3, 64.51, 18

```
data_NaSi2Au5
_cell_length_a 4.292
_cell_length_b 7.137
_cell_length_c 10.260
_cell_angle_alpha 90.00
_cell_angle_beta 90.00
_cell_angle_gamma 90.00
_space_group_name_H-M_alt 'I m m m'
_space_group_IT_number 71
_space_group_name_Hall '-I 2 2'
loop_
_atom_site_label
_atom_site_type_symbol
_atom_site_fract_x
_atom_site_fract_y
_atom_site_fract_z
Na1 Na 0.000 0.000 0.000
Si1 Si 0.000 0.500 0.241
Au1 Au 0.000 0.204 0.353
Au2 Au 0.000 0.500 0.000
```

---

4.
NaSi2Sn2Au7: simulated powder diffraction line list (a wavelength of 1.5418 Å), based on a structure optimized by DFT (PBE).
Intensities are scaled so that the largest is 100.

Main lines, most intense first (2θ from 15° to 90°):
(hkl), 2θ (°), intensity
2 0 -3, 35.53, 100
2 2 -1, 41.92, 43
0 2 1, 29.63, 38
0 2 2, 31.97, 30
0 0 3, 20.37, 30
0 4 0, 59.66, 28
2 0 2, 32.42, 25
2 2 3, 46.80, 24
2 2 0, 41.41, 24
2 0 4, 40.65, 22
2 0 0, 29.09, 20
0 0 5, 34.30, 18

```
data_NaSi2Sn2Au7
_cell_length_a 6.140
_cell_length_b 6.197
_cell_length_c 13.075
_cell_angle_alpha 90.00
_cell_angle_beta 90.93
_cell_angle_gamma 90.00
_space_group_name_H-M_alt 'C 1 2/m 1'
_space_group_IT_number 12
loop_
_space_group_symop_operation_xyz
'x,y,z'
'-x,-y,-z'
'-x,y,-z'
'x,-y,z'
'x+1/2,y+1/2,z'
'-x+1/2,-y+1/2,-z'
'-x+1/2,y+1/2,-z'
'x+1/2,-y+1/2,z'
loop_
_atom_site_label
_atom_site_type_symbol
_atom_site_fract_x
_atom_site_fract_y
_atom_site_fract_z
Na1 Na 0.000 0.000 0.000
Si1 Si 0.023 0.500 0.247
Sn1 Sn 0.132 0.000 0.381
Au1 Au 0.000 0.500 0.000
Au2 Au 0.164 0.500 0.423
Au3 Au 0.241 0.255 0.844
```